The following is a calculated XRD peak list of KNaVF4. It was derived from a crystal structure in Alexandria, relaxed with PBE+U, using a wavelength of 1.5418 Å.
Lines closer than 0.1° are merged.

Principal peaks in the range 2θ from 5° to 70°, most intense first:
- 2θ = 30.35°, 2.945 Å, I = 100
- 2θ = 43.45°, 2.083 Å, I = 95
- 2θ = 13.91°, 6.368 Å, I = 80
- 2θ = 30.06°, 2.973 Å, I = 78
- 2θ = 62.48°, 1.487 Å, I = 43
- 2θ = 42.59°, 2.123 Å, I = 41
- 2θ = 22.46°, 3.959 Å, I = 38
- 2θ = 41.56°, 2.173 Å, I = 36
- 2θ = 53.74°, 1.706 Å, I = 29
- 2θ = 63.14°, 1.473 Å, I = 26

Structure:
```
data_KNaVF4
_chemical_formula_sum 'K2 Na2 V2 F8'
_space_group_name_H-M_alt 'I 4 m m'
_space_group_IT_number 107
_space_group_name_Hall 'I 4 -2'
_cell_length_a 4.165
_cell_length_b 4.165
_cell_length_c 12.735
_cell_angle_alpha 90.00
_cell_angle_beta 90.00
_cell_angle_gamma 90.00
loop_
_atom_site_label
_atom_site_type_symbol
_atom_site_fract_x
_atom_site_fract_y
_atom_site_fract_z
_atom_site_occupancy
K1 K 0.000 0.000 0.000 1
Na1 Na 0.000 0.000 0.706 1
V1 V 0.000 0.000 0.355 1
F1 F 0.000 0.000 0.193 1
F2 F 0.000 0.000 0.524 1
F3 F 0.000 0.500 0.348 1
```